This entry pairs a crystal structure of BaSrTa2O7 with its theoretical X-ray powder pattern. Radiation: copper Kα. Structure: a PBE-relaxed structure.

Largest 10 diffraction maxima, in order of rising 2θ, 2θ = 15–90°:
2theta  d (Å)  I (rel.)
22.49  3.954  46
26.04  3.421  25
28.50  3.132  100
31.10  2.876  62
32.01  2.796  74
44.99  2.015  27
45.90  1.977  24
51.51  1.774  35
54.13  1.694  39
56.48  1.629  27

Structural model:
Cell: 11.1826 11.1826 11.1826 Å, 159.24 138.59 46.76°
Sites, in units of the cell vectors:
Ba 0.2380 0.2380 0.0000
Ba 0.7620 0.7620 0.0000
Sr 0.0000 0.0000 0.0000
Sr 0.5000 0.0000 0.5000
Ta 0.1455 0.3973 0.7482
Ta 0.3509 0.6027 0.7482
Ta 0.6491 0.3973 0.2518
Ta 0.8545 0.6027 0.2518
O 0.0106 0.3075 0.7032
O 0.0796 0.5796 0.5000
O 0.1546 0.9074 0.2472
O 0.2873 0.5000 0.7873
O 0.3397 0.0926 0.2472
O 0.3873 0.3873 0.0000
O 0.3957 0.6925 0.7032
O 0.6043 0.3075 0.2968
O 0.6127 0.6127 0.0000
O 0.6603 0.9074 0.7528
O 0.7127 0.5000 0.2127
O 0.8454 0.0926 0.7528
O 0.9204 0.4204 0.5000
O 0.9894 0.6925 0.2968